The following is a theoretical powder diffraction line list of RbCeSe2. It was derived from a crystal structure in the Materials Project, relaxed with PBE, using Cu Kα.

Largest 10 diffraction maxima, in order of falling intensity, 2θ = 10–80°:
2θ = 27.66°, 3.226 Å, I = 100
2θ = 40.84°, 2.209 Å, I = 37
2θ = 38.14°, 2.360 Å, I = 33
2θ = 11.07°, 7.993 Å, I = 21
2θ = 50.04°, 1.823 Å, I = 19
2θ = 66.50°, 1.406 Å, I = 16
2θ = 62.69°, 1.482 Å, I = 10
2θ = 57.11°, 1.613 Å, I = 10
2θ = 72.57°, 1.303 Å, I = 10
2θ = 35.16°, 2.552 Å, I = 10

Cell and atoms:
Cell lengths 8.3900, 8.3900, 8.3900 Å; angles 30.54, 30.54, 30.54 degrees
Positions (direct):
Rb 0.0000 0.0000 0.0000
Ce 0.5000 0.5000 0.5000
Se 0.2332 0.2332 0.2332
Se 0.7668 0.7668 0.7668